The following is a simulated powder diffractogram of NpCd11. It was derived from the GGA-PBE geometry in the Materials Project, using Cu Kα X-rays.

Crystal structure
Cell lengths 9.449, 9.449, 9.449 Å; angles 90.00, 90.00, 90.00 degrees
Sites, in units of the cell vectors:
Np: 0.000 0.000 0.500
Np: 0.000 0.500 0.000
Np: 0.500 0.000 0.000
Cd: 0.000 0.345 0.345
Cd: 0.000 0.345 0.655
Cd: 0.000 0.655 0.345
Cd: 0.000 0.655 0.655
Cd: 0.155 0.155 0.155
Cd: 0.155 0.155 0.845
Cd: 0.155 0.845 0.155
Cd: 0.155 0.845 0.845
Cd: 0.265 0.265 0.500
Cd: 0.265 0.500 0.265
Cd: 0.265 0.500 0.735
Cd: 0.265 0.735 0.500
Cd: 0.345 0.000 0.345
Cd: 0.345 0.000 0.655
Cd: 0.345 0.345 0.000
Cd: 0.345 0.655 0.000
Cd: 0.500 0.265 0.265
Cd: 0.500 0.265 0.735
Cd: 0.500 0.500 0.500
Cd: 0.500 0.735 0.265
Cd: 0.500 0.735 0.735
Cd: 0.655 0.000 0.345
Cd: 0.655 0.000 0.655
Cd: 0.655 0.345 0.000
Cd: 0.655 0.655 0.000
Cd: 0.735 0.265 0.500
Cd: 0.735 0.500 0.265
Cd: 0.735 0.500 0.735
Cd: 0.735 0.735 0.500
Cd: 0.845 0.155 0.155
Cd: 0.845 0.155 0.845
Cd: 0.845 0.845 0.155
Cd: 0.845 0.845 0.845

Peak list (10 most intense, 2θ from 5° to 70°, sorted by position)
2θ = 29.9°, intensity 34; 2θ = 31.4°, intensity 100; 2θ = 32.8°, intensity 76; 2θ = 34.2°, intensity 41; 2θ = 39.3°, intensity 62; 2θ = 40.5°, intensity 45; 2θ = 43.9°, intensity 45; 2θ = 55.0°, intensity 22; 2θ = 57.7°, intensity 22; 2θ = 65.5°, intensity 20

The following is a simulated powder diffractogram of Np3Cd. It was derived from the GGA-PBE geometry in the Materials Project, using Cu Kα X-rays.

Crystal structure
Cell lengths 5.658, 5.658, 5.658 Å; angles 132.53, 132.53, 69.39 degrees
Sites, in units of the cell vectors:
Np: 0.000 0.000 0.000
Np: 0.250 0.750 0.500
Np: 0.750 0.250 0.500
Cd: 0.500 0.500 0.000

Peak list (10 most intense, 2θ from 5° to 70°, sorted by position)
2θ = 19.1°, intensity 2; 2θ = 21.7°, intensity 6; 2θ = 33.8°, intensity 100; 2θ = 38.7°, intensity 17; 2θ = 39.6°, intensity 33; 2θ = 45.6°, intensity 2; 2θ = 56.6°, intensity 24; 2θ = 57.2°, intensity 11; 2θ = 67.0°, intensity 14; 2θ = 68.1°, intensity 27

The following is a simulated powder diffractogram of CdO2. It was derived from the GGA-PBE geometry in the Materials Project, using Cu Kα X-rays.

Crystal structure
Cell lengths 5.405, 5.405, 5.405 Å; angles 90.00, 90.00, 90.00 degrees
Sites, in units of the cell vectors:
Cd: 0.000 0.000 0.000
Cd: 0.000 0.500 0.500
Cd: 0.500 0.000 0.500
Cd: 0.500 0.500 0.000
O: 0.080 0.580 0.920
O: 0.080 0.920 0.420
O: 0.420 0.080 0.920
O: 0.420 0.420 0.420
O: 0.580 0.580 0.580
O: 0.580 0.920 0.080
O: 0.920 0.080 0.580
O: 0.920 0.420 0.080

Peak list (10 most intense, 2θ from 5° to 70°, sorted by position)
2θ = 28.6°, intensity 93; 2θ = 33.2°, intensity 100; 2θ = 37.2°, intensity 1; 2θ = 40.9°, intensity 2; 2θ = 47.6°, intensity 61; 2θ = 56.5°, intensity 60; 2θ = 59.2°, intensity 19; 2θ = 61.9°, intensity 1; 2θ = 64.5°, intensity 1; 2θ = 69.6°, intensity 7

The following is a simulated powder diffractogram of CdO2. It was derived from the GGA-PBE geometry in the Materials Project, using Cu Kα X-rays.

Crystal structure
Cell lengths 6.542, 6.542, 3.652 Å; angles 106.12, 106.12, 130.97 degrees
Sites, in units of the cell vectors:
Cd: 0.147 0.853 0.000
Cd: 0.853 0.147 0.000
O: 0.270 0.747 0.515
O: 0.302 0.302 0.114
O: 0.747 0.270 0.515
O: 0.923 0.923 0.309

Peak list (10 most intense, 2θ from 5° to 70°, sorted by position)
2θ = 14.9°, intensity 25; 2θ = 23.3°, intensity 100; 2θ = 25.5°, intensity 67; 2θ = 31.6°, intensity 82; 2θ = 33.0°, intensity 39; 2θ = 33.2°, intensity 25; 2θ = 33.3°, intensity 95; 2θ = 44.9°, intensity 26; 2θ = 45.2°, intensity 38; 2θ = 45.3°, intensity 50

The following is a simulated powder diffractogram of CdO2. It was derived from the GGA-PBE geometry in the Materials Project, using Cu Kα X-rays.

Crystal structure
Cell lengths 3.476, 3.476, 4.148 Å; angles 90.00, 90.00, 120.00 degrees
Sites, in units of the cell vectors:
Cd: 0.000 0.000 0.000
O: 0.333 0.667 0.244
O: 0.667 0.333 0.756

Peak list (10 most intense, 2θ from 5° to 70°, sorted by position)
2θ = 21.4°, intensity 66; 2θ = 29.7°, intensity 62; 2θ = 36.9°, intensity 100; 2θ = 43.6°, intensity 5; 2θ = 52.7°, intensity 26; 2θ = 53.7°, intensity 39; 2θ = 57.5°, intensity 25; 2θ = 61.6°, intensity 8; 2θ = 66.0°, intensity 17; 2θ = 67.8°, intensity 2

The following is a simulated powder diffractogram of Cd3P2O8. It was derived from the GGA-PBE geometry in the Materials Project, using Cu Kα X-rays.

Crystal structure
Cell lengths 9.744, 9.744, 7.767 Å; angles 90.00, 90.00, 73.10 degrees
Sites, in units of the cell vectors:
Cd: 0.031 0.689 0.557
Cd: 0.108 0.108 0.000
Cd: 0.189 0.531 0.057
Cd: 0.311 0.969 0.557
Cd: 0.392 0.392 0.500
Cd: 0.469 0.811 0.057
Cd: 0.531 0.189 0.943
Cd: 0.608 0.608 0.500
Cd: 0.689 0.031 0.443
Cd: 0.811 0.469 0.943
Cd: 0.892 0.892 0.000
Cd: 0.969 0.311 0.443
P: 0.181 0.819 0.291
P: 0.187 0.313 0.750
P: 0.313 0.187 0.250
P: 0.319 0.681 0.791
P: 0.681 0.319 0.209
P: 0.687 0.813 0.750
P: 0.813 0.687 0.250
P: 0.819 0.181 0.709
O: 0.098 0.374 0.915
O: 0.102 0.898 0.127
O: 0.117 0.883 0.466
O: 0.126 0.402 0.585
O: 0.156 0.180 0.269
O: 0.162 0.671 0.791
O: 0.171 0.662 0.291
O: 0.180 0.156 0.731
O: 0.320 0.344 0.231
O: 0.329 0.838 0.791
O: 0.338 0.829 0.291
O: 0.344 0.320 0.769
O: 0.374 0.098 0.085
O: 0.383 0.617 0.966
O: 0.398 0.602 0.627
O: 0.402 0.126 0.415
O: 0.598 0.874 0.585
O: 0.602 0.398 0.373
O: 0.617 0.383 0.034
O: 0.626 0.902 0.915
O: 0.656 0.680 0.231
O: 0.662 0.171 0.709
O: 0.671 0.162 0.209
O: 0.680 0.656 0.769
O: 0.820 0.844 0.269
O: 0.829 0.338 0.709
O: 0.838 0.329 0.209
O: 0.844 0.820 0.731
O: 0.874 0.598 0.415
O: 0.883 0.117 0.534
O: 0.898 0.102 0.873
O: 0.902 0.626 0.085

Peak list (10 most intense, 2θ from 5° to 70°, sorted by position)
2θ = 22.7°, intensity 31; 2θ = 22.9°, intensity 24; 2θ = 26.4°, intensity 100; 2θ = 29.7°, intensity 23; 2θ = 29.8°, intensity 27; 2θ = 31.0°, intensity 55; 2θ = 32.5°, intensity 36; 2θ = 38.8°, intensity 20; 2θ = 48.5°, intensity 20; 2θ = 52.9°, intensity 19

The following is a simulated powder diffractogram of Cd5P3O13. It was derived from the GGA-PBE geometry in the Materials Project, using Cu Kα X-rays.

Crystal structure
Cell lengths 9.562, 9.562, 6.697 Å; angles 90.00, 90.00, 120.00 degrees
Sites, in units of the cell vectors:
Cd: 0.003 0.245 0.000
Cd: 0.242 0.997 0.000
Cd: 0.245 0.242 0.500
Cd: 0.333 0.667 0.249
Cd: 0.333 0.667 0.746
Cd: 0.667 0.333 0.246
Cd: 0.667 0.333 0.749
Cd: 0.755 0.758 0.000
Cd: 0.758 0.003 0.500
Cd: 0.997 0.755 0.500
P: 0.025 0.630 0.000
P: 0.370 0.395 0.000
P: 0.395 0.025 0.500
P: 0.605 0.975 0.000
P: 0.630 0.605 0.500
P: 0.975 0.370 0.500
O: 0.000 0.000 0.006
O: 0.000 0.000 0.506
O: 0.078 0.745 0.816
O: 0.080 0.740 0.187
O: 0.122 0.537 0.995
O: 0.160 0.489 0.499
O: 0.255 0.333 0.816
O: 0.260 0.340 0.187
O: 0.329 0.840 0.499
O: 0.333 0.078 0.316
O: 0.340 0.080 0.687
O: 0.415 0.878 0.995
O: 0.463 0.585 0.995
O: 0.489 0.329 0.999
O: 0.511 0.671 0.499
O: 0.537 0.415 0.495
O: 0.585 0.122 0.495
O: 0.660 0.920 0.187
O: 0.667 0.922 0.816
O: 0.671 0.160 0.999
O: 0.740 0.660 0.687
O: 0.745 0.667 0.316
O: 0.840 0.511 0.999
O: 0.878 0.463 0.495
O: 0.920 0.260 0.687
O: 0.922 0.255 0.316

Peak list (10 most intense, 2θ from 5° to 70°, sorted by position)
2θ = 21.5°, intensity 29; 2θ = 28.5°, intensity 39; 2θ = 28.8°, intensity 34; 2θ = 31.6°, intensity 100; 2θ = 32.4°, intensity 50; 2θ = 32.6°, intensity 64; 2θ = 46.7°, intensity 33; 2θ = 50.2°, intensity 31; 2θ = 50.5°, intensity 23; 2θ = 51.9°, intensity 29

The following is a simulated powder diffractogram of CdP2O8. It was derived from the GGA-PBE geometry in the Materials Project, using Cu Kα X-rays.

Crystal structure
Cell lengths 12.315, 12.315, 5.525 Å; angles 90.00, 90.00, 120.00 degrees
Sites, in units of the cell vectors:
Cd: 0.000 0.500 0.000
Cd: 0.500 0.000 0.000
Cd: 0.500 0.500 0.000
P: 0.186 0.643 0.509
P: 0.357 0.542 0.509
P: 0.458 0.814 0.509
P: 0.542 0.186 0.491
P: 0.643 0.458 0.491
P: 0.814 0.357 0.491
O: 0.087 0.624 0.328
O: 0.113 0.377 0.010
O: 0.159 0.645 0.776
O: 0.227 0.540 0.449
O: 0.265 0.887 0.010
O: 0.313 0.773 0.449
O: 0.355 0.514 0.776
O: 0.376 0.464 0.328
O: 0.377 0.265 0.990
O: 0.460 0.687 0.449
O: 0.464 0.087 0.672
O: 0.486 0.841 0.776
O: 0.514 0.159 0.224
O: 0.536 0.913 0.328
O: 0.540 0.313 0.551
O: 0.623 0.735 0.010
O: 0.624 0.536 0.672
O: 0.645 0.486 0.224
O: 0.687 0.227 0.551
O: 0.735 0.113 0.990
O: 0.773 0.460 0.551
O: 0.841 0.355 0.224
O: 0.887 0.623 0.990
O: 0.913 0.376 0.672

Peak list (10 most intense, 2θ from 5° to 70°, sorted by position)
2θ = 8.3°, intensity 100; 2θ = 16.6°, intensity 26; 2θ = 21.6°, intensity 17; 2θ = 23.2°, intensity 21; 2θ = 33.3°, intensity 17; 2θ = 34.4°, intensity 5; 2θ = 37.5°, intensity 6; 2θ = 45.0°, intensity 6; 2θ = 48.1°, intensity 8; 2θ = 56.5°, intensity 7

Copy entry 5 word for word.
The following is a simulated powder diffractogram of CdO2. It was derived from the GGA-PBE geometry in the Materials Project, using Cu Kα X-rays.

Crystal structure
Cell lengths 3.476, 3.476, 4.148 Å; angles 90.00, 90.00, 120.00 degrees
Sites, in units of the cell vectors:
Cd: 0.000 0.000 0.000
O: 0.333 0.667 0.244
O: 0.667 0.333 0.756

Peak list (10 most intense, 2θ from 5° to 70°, sorted by position)
2θ = 21.4°, intensity 66; 2θ = 29.7°, intensity 62; 2θ = 36.9°, intensity 100; 2θ = 43.6°, intensity 5; 2θ = 52.7°, intensity 26; 2θ = 53.7°, intensity 39; 2θ = 57.5°, intensity 25; 2θ = 61.6°, intensity 8; 2θ = 66.0°, intensity 17; 2θ = 67.8°, intensity 2